Diffraction record for YTmAsSe. The X-ray diffraction stick pattern is computed, not measured: it uses a structure optimized by DFT (PBE) and λ = 1.5418 Å (Cu Kα).

Principal peaks in the range 10° ≤ 2θ ≤ 90°, sorted by position:
two_theta  Rel. int.
12.57  16
26.06  31
27.09  28
30.87  30
33.45  100
39.60  40
45.34  55
57.50  21
71.37  24
76.10  18

```
12
Lattice="4.001 0.000 0.000 -2.000 3.465 0.000 0.000 0.000 21.126" Properties=species:S:1:pos:R:3 pbc="T T T"
Y 0.000 0.000 0.000
Y 0.000 2.310 14.084
Y 2.000 1.155 7.042
Tm 0.000 0.000 3.814
Tm 0.000 2.310 17.899
Tm 2.000 1.155 10.856
As 0.000 0.000 12.473
As 0.000 2.310 5.431
As 2.000 1.155 19.515
Se 0.000 0.000 8.952
Se 0.000 2.310 1.910
Se 2.000 1.155 15.994
```

Diffraction record for U3AsSe3. The X-ray diffraction stick pattern is computed, not measured: it uses a structure optimized by DFT (PBE) and λ = 1.5418 Å (Cu Kα).

Principal peaks in the range 10° ≤ 2θ ≤ 90°, sorted by position:
two_theta  Rel. int.
15.50  26
21.99  25
27.02  25
31.30  100
35.10  15
44.85  75
53.14  13
55.71  27
74.19  35
82.71  27

```
7
Lattice="5.716 0.000 0.000 0.000 5.716 0.000 0.000 0.000 5.716" Properties=species:S:1:pos:R:3 pbc="T T T"
U 0.000 0.000 2.858
U 0.000 2.858 0.000
U 2.858 0.000 0.000
As 0.000 0.000 0.000
Se 0.000 2.858 2.858
Se 2.858 0.000 2.858
Se 2.858 2.858 0.000
```

Diffraction record for U2As3Se. The X-ray diffraction stick pattern is computed, not measured: it uses a structure optimized by DFT (PBE) and λ = 1.5418 Å (Cu Kα).

Principal peaks in the range 10° ≤ 2θ ≤ 90°, sorted by position:
two_theta  Rel. int.
24.91  89
31.91  48
32.59  32
33.75  47
38.84  100
39.92  54
45.75  51
57.29  26
62.30  30
79.94  26

```
6
Lattice="3.967 0.000 0.000 0.000 3.967 0.000 0.000 0.000 8.242" Properties=species:S:1:pos:R:3 pbc="T T T"
U 0.000 0.000 0.000
U 1.983 1.983 3.616
As 0.000 1.983 5.937
As 1.983 0.000 5.937
As 1.983 1.983 0.650
Se 0.000 0.000 2.945
```

Diffraction record for U5As3Se2. The X-ray diffraction stick pattern is computed, not measured: it uses a structure optimized by DFT (PBE) and λ = 1.5418 Å (Cu Kα).

Principal peaks in the range 10° ≤ 2θ ≤ 90°, sorted by position:
two_theta  Rel. int.
25.29  28
36.07  100
44.56  9
51.93  18
58.61  13
64.85  37
76.51  12
82.10  7
87.61  18

```
20
Lattice="-5.569 5.569 3.521 5.569 -5.569 3.521 5.569 5.569 -3.521" Properties=species:S:1:pos:R:3 pbc="T T T"
U 4.464 3.362 -1.777
U 2.207 -1.105 1.745
U 5.569 0.000 1.761
U 3.362 6.674 -1.777
U 1.105 2.207 1.745
U 4.464 3.362 1.777
U 2.207 -1.105 5.298
U 0.000 5.569 1.761
U 3.362 6.674 1.777
U 1.105 2.207 5.298
As 0.000 0.000 0.000
As 3.354 1.119 0.000
As 4.450 -2.214 3.521
As 0.000 0.000 3.521
As 1.119 7.783 0.000
As 2.214 4.450 3.521
Se 6.685 2.228 0.000
Se 2.228 4.453 0.000
Se 3.341 1.116 3.521
Se -1.116 3.341 3.521
```

Diffraction record for Y4AsSe3. The X-ray diffraction stick pattern is computed, not measured: it uses a structure optimized by DFT (PBE) and λ = 1.5418 Å (Cu Kα).

Principal peaks in the range 10° ≤ 2θ ≤ 90°, sorted by position:
two_theta  Rel. int.
30.84  100
44.04  12
44.19  48
44.30  12
54.74  12
54.96  13
64.26  11
72.98  21
81.10  8
81.44  12

```
16
Lattice="8.225 0.000 0.000 0.000 11.590 0.000 0.000 0.000 4.090" Properties=species:S:1:pos:R:3 pbc="T T T"
Y 0.000 2.825 0.000
Y 0.000 8.765 0.000
Y 1.970 0.000 2.045
Y 2.143 5.795 2.045
Y 4.112 2.970 0.000
Y 4.112 8.620 0.000
Y 6.082 5.795 2.045
Y 6.255 0.000 2.045
As 0.000 0.000 0.000
As 4.112 5.795 0.000
Se 0.000 5.795 0.000
Se 2.056 2.898 2.045
Se 2.056 8.693 2.045
Se 4.112 0.000 0.000
Se 6.168 2.898 2.045
Se 6.168 8.693 2.045
```

Diffraction record for Zn2AsSe2. The X-ray diffraction stick pattern is computed, not measured: it uses a structure optimized by DFT (PBE) and λ = 1.5418 Å (Cu Kα).

Principal peaks in the range 10° ≤ 2θ ≤ 90°, sorted by position:
two_theta  Rel. int.
22.72  22
33.76  48
35.12  100
38.75  51
42.24  17
50.51  35
53.28  51
62.14  16
76.47  21
77.86  18

```
10
Lattice="5.110 0.000 0.000 0.000 5.110 0.000 0.000 0.000 7.826" Properties=species:S:1:pos:R:3 pbc="T T T"
Zn 0.000 0.000 1.252
Zn 0.000 0.000 6.574
Zn 2.555 2.555 2.661
Zn 2.555 2.555 5.165
As 0.000 0.000 3.913
As 2.555 2.555 0.000
Se 0.000 2.555 1.957
Se 0.000 2.555 5.870
Se 2.555 0.000 1.957
Se 2.555 0.000 5.870
```